Theoretical powder diffraction line list
Compound: Ta3Br7
Radiation: copper Kα
Structure: a crystal structure in Alexandria, relaxed with GGA-PBE
Lines closer than 0.1° are merged.

Cell and atoms:
```
data_Ta3Br7
_cell_length_a 14.1801
_cell_length_b 14.9795
_cell_length_c 11.9666
_cell_angle_alpha 90.00
_cell_angle_beta 90.00
_cell_angle_gamma 90.00
_space_group_name_H-M_alt 'C m c e'
_space_group_IT_number 64
_space_group_name_Hall '-C 2ac 2'
loop_
_atom_site_label
_atom_site_fract_x
_atom_site_fract_y
_atom_site_fract_z
Ta1 0.0000 0.1120 0.0770
Ta2 0.1055 0.0478 0.8908
Br1 0.0000 0.1167 0.7326
Br2 0.1239 0.0951 0.2361
Br3 0.1250 0.2104 0.9752
Br4 0.2436 0.0000 0.5000
Br5 0.2500 0.1205 0.7500
```

The 6 most intense peaks (2θ = 10–90°), by intensity:
(hkl)  2theta  I_rel
1 1 1  11.34  1000
4 2 3  35.96  263
0 2 0  11.82  203
1 5 2  34.06  72
0 4 2  28.11  71
0 6 3  42.73  63

Theoretical powder diffraction line list
Compound: SrAl4Zn6
Radiation: copper Kα
Structure: a crystal structure in Alexandria, relaxed with GGA-PBE
Lines closer than 0.1° are merged.

Cell and atoms:
```
data_SrAl4Zn6
_cell_length_a 7.3470
_cell_length_b 7.3470
_cell_length_c 4.3761
_cell_angle_alpha 90.00
_cell_angle_beta 90.00
_cell_angle_gamma 120.00
_space_group_name_H-M_alt 'P -6 m 2'
_space_group_IT_number 187
_space_group_name_Hall 'P -6 2'
loop_
_atom_site_label
_atom_site_fract_x
_atom_site_fract_y
_atom_site_fract_z
Sr1 0.0000 0.0000 0.0000
Al1 0.3333 0.6667 0.0000
Al2 0.4132 0.2066 0.5000
Zn1 0.2053 0.4107 0.5000
Zn2 0.5387 0.0773 0.0000
```

The 6 most intense peaks (2θ = 10–90°), by intensity:
(hkl)  2theta  I_rel
2 0 1  34.87  1000
2 1 1  42.91  307
2 1 0  37.39  295
0 0 2  41.26  280
1 0 1  24.69  198
3 0 0  42.63  170

Theoretical powder diffraction line list
Compound: In2P3Se9
Radiation: copper Kα
Structure: a crystal structure in Alexandria, relaxed with GGA-PBE
Lines closer than 0.1° are merged.

Cell and atoms:
```
data_In2P3Se9
_cell_length_a 6.4885
_cell_length_b 8.2521
_cell_length_c 15.3703
_cell_angle_alpha 91.72
_cell_angle_beta 101.67
_cell_angle_gamma 90.88
_space_group_name_H-M_alt 'P -1'
_space_group_IT_number 2
_space_group_name_Hall '-P 1'
loop_
_atom_site_label
_atom_site_fract_x
_atom_site_fract_y
_atom_site_fract_z
In1 0.0583 0.1214 0.1181
In2 0.2838 0.5668 0.5685
P1 0.1545 0.4560 0.2976
P2 0.1783 0.2143 0.3664
P3 0.4722 0.1194 0.9652
Se1 0.0365 0.6293 0.3922
Se2 0.0781 0.5789 0.8258
Se3 0.1371 0.8570 0.6155
Se4 0.2030 0.8130 0.0545
Se5 0.2598 0.0687 0.8360
Se6 0.3099 0.0437 0.2823
Se7 0.3694 0.2951 0.0573
Se8 0.4078 0.2616 0.4965
Se9 0.4683 0.5264 0.2771
```

The 6 most intense peaks (2θ = 10–90°), by intensity:
(hkl)  2theta  I_rel
1 0 4  29.95  1000
0 1 -1  12.06  589
2 1 -2  30.32  472
3 1 2  48.57  333
0 2 -2  24.26  277
-1 3 2  36.71  218

Theoretical powder diffraction line list
Compound: GaFe2N3
Radiation: copper Kα
Structure: a crystal structure in Alexandria, relaxed with GGA-PBE
Lines closer than 0.1° are merged.

Cell and atoms:
```
data_GaFe2N3
_cell_length_a 9.3415
_cell_length_b 5.2827
_cell_length_c 5.0533
_cell_angle_alpha 90.00
_cell_angle_beta 90.00
_cell_angle_gamma 90.00
_space_group_name_H-M_alt 'C m c 21'
_space_group_IT_number 36
_space_group_name_Hall 'C 2c -2'
loop_
_atom_site_label
_atom_site_fract_x
_atom_site_fract_y
_atom_site_fract_z
Ga1 0.0000 0.1665 0.0000
Fe1 0.1787 0.3320 0.4850
N1 0.0000 0.1848 0.3845
N2 0.1670 0.3448 0.8473
```

The 6 most intense peaks (2θ = 10–90°), by intensity:
(hkl)  2theta  I_rel
3 1 1  37.98  1000
0 0 2  35.53  546
0 2 1  38.46  521
3 1 0  33.40  462
3 1 3  65.42  308
3 3 0  60.39  280

Theoretical powder diffraction line list
Compound: ErTm4CuS8
Radiation: copper Kα
Structure: a crystal structure in Alexandria, relaxed with GGA-PBE
Lines closer than 0.1° are merged.

Cell and atoms:
```
data_ErTm4CuS8
_cell_length_a 7.8212
_cell_length_b 7.8212
_cell_length_c 19.1926
_cell_angle_alpha 90.00
_cell_angle_beta 90.00
_cell_angle_gamma 120.00
_space_group_name_H-M_alt 'R 3 m'
_space_group_IT_number 160
_space_group_name_Hall 'R 3 -2"'
loop_
_atom_site_label
_atom_site_fract_x
_atom_site_fract_y
_atom_site_fract_z
Er1 0.0000 0.0000 0.0000
Tm1 0.0000 0.0000 0.6203
Tm2 0.1732 0.3464 0.8268
Cu1 0.0000 0.0000 0.3693
S1 0.0000 0.0000 0.2428
S2 0.0000 0.0000 0.7541
S3 0.0051 0.5025 0.7461
S4 0.1782 0.3563 0.5751
```

The 6 most intense peaks (2θ = 10–90°), by intensity:
(hkl)  2theta  I_rel
0 2 1  26.71  1000
2 2 0  46.41  590
0 2 7  42.44  441
0 2 4  32.36  294
0 0 3  13.86  214
0 0 6  27.93  196

Theoretical powder diffraction line list
Compound: Li2Tl2Cd
Radiation: copper Kα
Structure: a crystal structure in Alexandria, relaxed with GGA-PBE
Lines closer than 0.1° are merged.

Cell and atoms:
```
data_Li2Tl2Cd
_cell_length_a 18.3739
_cell_length_b 4.9058
_cell_length_c 4.9034
_cell_angle_alpha 90.00
_cell_angle_beta 90.61
_cell_angle_gamma 90.00
_space_group_name_H-M_alt 'C 1 2/c 1'
_space_group_IT_number 15
_space_group_name_Hall '-C 2yc'
loop_
_atom_site_label
_atom_site_fract_x
_atom_site_fract_y
_atom_site_fract_z
Li1 0.0873 0.2465 0.2530
Tl1 0.1864 0.2512 0.7522
Cd1 0.0000 0.2538 0.7500
```

The 6 most intense peaks (2θ = 10–90°), by intensity:
(hkl)  2theta  I_rel
1 1 -1  26.15  1000
0 2 0  36.65  834
5 1 -1  35.46  781
5 1 1  35.73  779
6 0 0  29.16  441
3 1 -1  29.50  354

Theoretical powder diffraction line list
Compound: Cu2H4Pd5
Radiation: copper Kα
Structure: a crystal structure in Alexandria, relaxed with GGA-PBE
Lines closer than 0.1° are merged.

Cell and atoms:
```
data_Cu2H4Pd5
_cell_length_a 14.4898
_cell_length_b 2.7979
_cell_length_c 6.4675
_cell_angle_alpha 90.00
_cell_angle_beta 116.09
_cell_angle_gamma 90.00
_space_group_name_H-M_alt 'C 1 2/m 1'
_space_group_IT_number 12
_space_group_name_Hall '-C 2y'
loop_
_atom_site_label
_atom_site_fract_x
_atom_site_fract_y
_atom_site_fract_z
Cu1 0.2100 0.0000 0.3015
H1 0.0223 0.5000 0.8364
H2 0.1258 0.0000 0.6654
Pd1 0.0000 0.0000 0.0000
Pd2 0.0899 0.5000 0.4425
Pd3 0.1568 0.5000 0.9062
```

The 6 most intense peaks (2θ = 10–90°), by intensity:
(hkl)  2theta  I_rel
6 0 -1  37.34  1000
3 1 -2  43.36  923
2 0 2  39.13  770
1 1 -1  34.94  743
4 0 -3  42.56  671
3 1 1  44.91  567

Theoretical powder diffraction line list
Compound: Ac5Cd2In2
Radiation: copper Kα
Structure: a crystal structure in Alexandria, relaxed with GGA-PBE
Lines closer than 0.1° are merged.

Cell and atoms:
```
data_Ac5Cd2In2
_cell_length_a 18.0097
_cell_length_b 8.7180
_cell_length_c 8.5468
_cell_angle_alpha 90.00
_cell_angle_beta 90.00
_cell_angle_gamma 90.00
_space_group_name_H-M_alt 'C m c e'
_space_group_IT_number 64
_space_group_name_Hall '-C 2ac 2'
loop_
_atom_site_label
_atom_site_fract_x
_atom_site_fract_y
_atom_site_fract_z
Ac1 0.0000 0.0000 0.0000
Ac2 0.1413 0.1823 0.3265
Cd1 0.0000 0.1203 0.6202
In1 0.2122 0.0000 0.0000
```

The 6 most intense peaks (2θ = 10–90°), by intensity:
(hkl)  2theta  I_rel
3 1 2  27.59  1000
4 0 2  28.80  778
4 2 1  30.40  689
4 2 0  28.50  682
0 2 2  29.27  487
1 3 1  32.93  457